Structure and theoretical XRD peak list of PmEr4Zn (a cell relaxed with PBE; Cu Kα (weighted mean of Kα1 and Kα2)).

Most intense lines, 2θ from 5° to 70°, sorted by position:
2theta  I/Imax
28.41  19
32.05  100
32.85  13
35.87  48
49.42  17
51.63  17
60.26  17
62.07  30

Crystal structure
```
PmEr4Zn
1.0
3.540 0.000 0.000
0.000 3.540 0.000
0.000 0.000 13.634
Pm Er Zn
1 4 1
direct
0.000 0.000 0.000
0.000 0.000 0.371
0.000 0.000 0.629
0.500 0.500 0.186
0.500 0.500 0.814
0.500 0.500 0.500
```


Structure and theoretical XRD peak list of Pm3Er2Zn2 (a cell relaxed with PBE; Cu Kα (weighted mean of Kα1 and Kα2)).

Most intense lines, 2θ from 5° to 70°, sorted by position:
2theta  I/Imax
28.86  24
32.54  100
34.92  55
50.21  20
51.44  10
56.48  9
58.97  15
61.12  33

Crystal structure
```
Pm3Er2Zn2
1.0
3.634 0.000 0.000
0.000 3.634 0.000
0.000 0.000 29.501
Pm Er Zn
6 4 4
direct
0.000 0.000 0.000
0.000 0.000 0.123
0.000 0.000 0.877
0.500 0.500 0.377
0.500 0.500 0.500
0.500 0.500 0.623
0.000 0.000 0.290
0.000 0.000 0.710
0.500 0.500 0.210
0.500 0.500 0.790
0.000 0.000 0.438
0.000 0.000 0.562
0.500 0.500 0.062
0.500 0.500 0.938
```


Structure and theoretical XRD peak list of PmEr4Zn4 (a cell relaxed with PBE; Cu Kα (weighted mean of Kα1 and Kα2)).

Most intense lines, 2θ from 5° to 70°, sorted by position:
2theta  I/Imax
27.50  100
29.93  59
33.52  36
35.45  47
38.71  98
47.05  34
62.12  19
65.82  20

Crystal structure
```
PmEr4Zn4
1.0
-4.721 4.721 2.532
4.721 -4.721 2.532
4.721 4.721 -2.532
Pm Er Zn
1 4 4
direct
0.000 0.000 0.000
0.107 0.650 0.757
0.350 0.107 0.457
0.650 0.893 0.543
0.893 0.350 0.243
0.316 0.420 0.737
0.420 0.684 0.104
0.580 0.316 0.896
0.684 0.580 0.263
```